1.
Starting from the PBE geometry in Alexandria, the powder diffraction line list of ZnCr2Si was computed for Cu Ka.
Peak positions follow from Bragg's law for the DFT cell and can differ from measured ones.

Principal peaks in the range 2θ = 10–80°, sorted by position:
Position (°2θ)	d (Å)	intensity
24.9	3.580	4.3
26.8	3.331	7.6
33.7	2.661	4.1
42.3	2.136	100.0
45.0	2.016	1.9
48.4	1.882	32.9
51.0	1.790	13.9
55.1	1.666	1.9
70.8	1.331	9.6
72.9	1.297	17.5

Atomic structure:
a b c (Å): 3.7635 3.7635 7.1599
angles (deg): 90.00 90.00 90.00
Space group I-4m2 (No. 119)
Inequivalent atoms, fractional coordinates:
1 Zn 0.0000 0.0000 0.0000
2 Cr 0.0000 0.0000 0.5000
3 Cr 0.0000 0.5000 0.7500
4 Si 0.0000 0.5000 0.2500

---

2.
Starting from the PBE geometry in Alexandria, the powder diffraction line list of As2HPd6 was computed for Cu Ka.
Peak positions follow from Bragg's law for the DFT cell and can differ from measured ones.

Principal peaks in the range 2θ = 10–80°, sorted by position:
Position (°2θ)	d (Å)	intensity
36.6	2.456	70.5
36.7	2.446	45.6
37.1	2.420	44.1
37.7	2.385	45.6
38.6	2.333	100.0
39.1	2.306	48.3
41.0	2.200	50.7
42.2	2.143	60.8
44.2	2.047	42.1
45.7	1.986	45.6

Atomic structure:
a b c (Å): 5.5733 6.3654 7.6644
angles (deg): 87.59 83.10 76.84
Space group P1 (No. 1)
Inequivalent atoms, fractional coordinates:
1 As 0.0000 0.0000 0.0000
2 As 0.1627 0.1332 0.4649
3 As 0.5462 0.4773 0.3484
4 As 0.7126 0.6182 0.8062
5 H 0.3676 0.3039 0.8894
6 H 0.9269 0.7734 0.3243
7 Pd 0.0694 0.2949 0.7715
8 Pd 0.1480 0.2861 0.1591
9 Pd 0.2514 0.6248 0.9045
10 Pd 0.2537 0.8045 0.2463
11 Pd 0.4572 0.8093 0.5646
12 Pd 0.4613 0.9904 0.9082
13 Pd 0.5636 0.3261 0.6562
14 Pd 0.6421 0.3202 0.0414
15 Pd 0.7572 0.0645 0.3530
16 Pd 0.7822 0.7001 0.1224
17 Pd 0.9274 0.9148 0.6906
18 Pd 0.9459 0.5475 0.4678

---

3.
Starting from the PBE geometry in Alexandria, the powder diffraction line list of Pr5NdHoTm2 was computed for Cu Ka.
Peak positions follow from Bragg's law for the DFT cell and can differ from measured ones.

Principal peaks in the range 2θ = 10–80°, sorted by position:
Position (°2θ)	d (Å)	intensity
26.2	3.400	7.9
27.3	3.267	9.6
29.7	3.011	22.0
31.6	2.835	100.0
33.1	2.707	9.6
46.4	1.957	7.5
49.8	1.831	6.9
56.2	1.636	16.5
57.9	1.593	7.7
60.2	1.538	7.8

Atomic structure:
a b c (Å): 5.6676 20.5586 10.8273
angles (deg): 90.00 90.00 90.00
Space group Cmc2_1 (No. 36)
Inequivalent atoms, fractional coordinates:
1 Pr 0.0000 0.0151 0.0000
2 Pr 0.0000 0.2810 0.2896
3 Pr 0.0000 0.2951 0.6826
4 Pr 0.0000 0.3882 0.0039
5 Pr 0.0000 0.4815 0.7241
6 Nd 0.0000 0.2005 0.9893
7 Ho 0.0000 0.4091 0.4411
8 Tm 0.0000 0.1101 0.7215
9 Tm 0.0000 0.1157 0.2908

---

4.
Starting from the PBE geometry in Alexandria, the powder diffraction line list of Ho5Tl3 was computed for Cu Ka.
Peak positions follow from Bragg's law for the DFT cell and can differ from measured ones.

Principal peaks in the range 2θ = 10–80°, sorted by position:
Position (°2θ)	d (Å)	intensity
29.6	3.020	7.5
30.2	2.956	7.6
32.4	2.764	100.0
33.4	2.686	14.2
34.5	2.600	15.8
35.1	2.555	29.1
43.5	2.079	7.2
49.2	1.851	9.6
57.1	1.613	11.1
61.3	1.512	16.3

Atomic structure:
a b c (Å): 6.8026 13.1304 5.1092
angles (deg): 90.00 90.00 90.00
Space group Pbam (No. 55)
Inequivalent atoms, fractional coordinates:
1 Ho 0.0000 0.0000 0.0000
2 Ho 0.1512 0.2743 0.0000
3 Ho 0.1577 0.6068 0.5000
4 Tl 0.0000 0.5000 0.0000
5 Tl 0.1104 0.8492 0.5000

---

5.
Starting from the PBE geometry in Alexandria, the powder diffraction line list of Y5Te6 was computed for Cu Ka.
Peak positions follow from Bragg's law for the DFT cell and can differ from measured ones.

Principal peaks in the range 2θ = 10–80°, sorted by position:
Position (°2θ)	d (Å)	intensity
25.2	3.537	8.2
29.1	3.065	100.0
41.6	2.170	37.1
41.7	2.165	36.9
51.7	1.768	19.4
60.5	1.531	7.9
68.4	1.371	10.8
68.6	1.369	10.7
76.0	1.253	7.8
76.2	1.250	13.7

Atomic structure:
a b c (Å): 7.5316 12.9796 7.5046
angles (deg): 90.00 109.60 90.00
Space group C2/m (No. 12)
Inequivalent atoms, fractional coordinates:
1 Y 0.0000 0.0000 0.0000
2 Y 0.0000 0.1641 0.5000
3 Y 0.0000 0.3299 0.0000
4 Te 0.2415 0.3384 0.7425
5 Te 0.2409 0.5000 0.2545

---

6.
Starting from the PBE geometry in Alexandria, the powder diffraction line list of Sm3ErAg4 was computed for Cu Ka.
Peak positions follow from Bragg's law for the DFT cell and can differ from measured ones.

Principal peaks in the range 2θ = 10–80°, sorted by position:
Position (°2θ)	d (Å)	intensity
24.3	3.665	2.8
34.3	2.611	100.0
34.6	2.591	49.7
42.5	2.126	1.6
49.0	1.860	8.7
49.8	1.832	17.5
61.3	1.511	17.4
61.9	1.500	35.3
72.4	1.305	10.6
73.0	1.296	5.5

Atomic structure:
a b c (Å): 3.6648 3.6648 14.8832
angles (deg): 90.00 90.00 90.00
Space group P4/mmm (No. 123)
Inequivalent atoms, fractional coordinates:
1 Sm 0.0000 0.0000 0.0000
2 Sm 0.0000 0.0000 0.2538
3 Er 0.0000 0.0000 0.5000
4 Ag 0.5000 0.5000 0.1261
5 Ag 0.5000 0.5000 0.3844

---

7.
Starting from the PBE geometry in Alexandria, the powder diffraction line list of Na3Ca2S2Cl3 was computed for Cu Ka.
Peak positions follow from Bragg's law for the DFT cell and can differ from measured ones.

Principal peaks in the range 2θ = 10–80°, sorted by position:
Position (°2θ)	d (Å)	intensity
24.8	3.589	67.3
25.3	3.520	41.5
25.9	3.444	51.8
28.9	3.095	29.4
29.2	3.054	34.1
35.4	2.538	100.0
44.9	2.020	72.0
46.5	1.952	33.2
50.9	1.795	31.4
70.2	1.342	33.1

Atomic structure:
a b c (Å): 5.0761 5.0761 24.4316
angles (deg): 90.00 90.00 90.00
Space group I4/mmm (No. 139)
Inequivalent atoms, fractional coordinates:
1 Na 0.0000 0.0000 0.0000
2 Na 0.0000 0.0000 0.3959
3 Ca 0.0000 0.5000 0.2500
4 S 0.0000 0.0000 0.2871
5 Cl 0.0000 0.0000 0.1125
6 Cl 0.0000 0.0000 0.5000

---

8.
Starting from the PBE geometry in Alexandria, the powder diffraction line list of CePmSO2 was computed for Cu Ka.
Peak positions follow from Bragg's law for the DFT cell and can differ from measured ones.

Principal peaks in the range 2θ = 10–80°, sorted by position:
Position (°2θ)	d (Å)	intensity
14.4	6.145	12.8
24.0	3.701	40.7
31.8	2.818	100.0
32.6	2.744	41.4
44.2	2.047	30.0
46.8	1.941	22.4
53.3	1.719	9.9
56.0	1.641	23.9
57.7	1.599	48.0
77.3	1.234	17.9

Atomic structure:
a b c (Å): 3.8812 3.8812 12.2905
angles (deg): 90.00 90.00 90.00
Space group I4mm (No. 107)
Inequivalent atoms, fractional coordinates:
1 Ce 0.0000 0.0000 0.0000
2 Pm 0.0000 0.0000 0.2967
3 S 0.0000 0.0000 0.6518
4 O 0.0000 0.5000 0.3991

---

9.
Starting from the PBE geometry in Alexandria, the powder diffraction line list of H6PtI was computed for Cu Ka.
Peak positions follow from Bragg's law for the DFT cell and can differ from measured ones.

Principal peaks in the range 2θ = 10–80°, sorted by position:
Position (°2θ)	d (Å)	intensity
20.6	4.308	100.0
23.8	3.736	33.5
31.1	2.878	18.9
34.0	2.637	13.8
36.0	2.493	24.5
36.5	2.463	11.4
39.1	2.304	19.2
40.0	2.252	17.7
41.9	2.154	15.8
46.7	1.944	11.4

Atomic structure:
a b c (Å): 8.8262 5.2731 5.8196
angles (deg): 90.00 122.16 90.00
Space group C2/m (No. 12)
Inequivalent atoms, fractional coordinates:
1 H 0.1601 0.2208 0.1382
2 H 0.2202 0.0000 0.1871
3 Pt 0.0000 0.0000 0.0000
4 I 0.0000 0.0000 0.5000

---

10.
Starting from the PBE geometry in Alexandria, the powder diffraction line list of PrScCd2 was computed for Cu Ka.
Peak positions follow from Bragg's law for the DFT cell and can differ from measured ones.

Principal peaks in the range 2θ = 10–80°, sorted by position:
Position (°2θ)	d (Å)	intensity
27.1	3.287	24.7
33.8	2.648	100.0
34.8	2.581	8.6
35.0	2.567	51.1
50.1	1.820	12.1
50.3	1.815	17.7
59.8	1.546	13.0
62.0	1.497	32.9
65.5	1.424	8.5
71.2	1.324	7.6

Atomic structure:
a b c (Å): 3.6301 3.6301 7.7432
angles (deg): 90.00 90.00 90.00
Space group P4/mmm (No. 123)
Inequivalent atoms, fractional coordinates:
1 Pr 0.0000 0.0000 0.0000
2 Sc 0.0000 0.0000 0.5000
3 Cd 0.5000 0.5000 0.2855

---

11.
Starting from the PBE geometry in Alexandria, the powder diffraction line list of Hf5Zr7 was computed for Cu Ka.
Peak positions follow from Bragg's law for the DFT cell and can differ from measured ones.

Principal peaks in the range 2θ = 10–80°, sorted by position:
Position (°2θ)	d (Å)	intensity
34.5	2.603	100.0
39.9	2.260	33.3
40.2	2.242	16.3
57.7	1.598	11.2
57.9	1.592	22.2
68.9	1.362	19.6
69.0	1.361	6.5
69.4	1.354	13.1
72.6	1.302	5.6
72.7	1.301	5.6

Atomic structure:
a b c (Å): 13.5506 4.4850 10.1142
angles (deg): 90.00 116.58 90.00
Space group Cm (No. 8)
Inequivalent atoms, fractional coordinates:
1 Hf 0.0000 0.0000 0.0000
2 Hf 0.0809 0.0000 0.7527
3 Hf 0.1633 0.5000 0.0004
4 Hf 0.2470 0.0000 0.2461
5 Hf 0.4118 0.5000 0.2476
6 Zr 0.0804 0.5000 0.2463
7 Zr 0.1627 0.0000 0.4983
8 Zr 0.2459 0.5000 0.7511
9 Zr 0.3299 0.0000 0.0014
10 Zr 0.3313 0.5000 0.4970
11 Zr 0.4173 0.0000 0.7518
12 Zr 0.4962 0.0000 0.4983

---

12.
Starting from the PBE geometry in Alexandria, the powder diffraction line list of Cs7K3Hg was computed for Cu Ka.
Peak positions follow from Bragg's law for the DFT cell and can differ from measured ones.

Principal peaks in the range 2θ = 10–80°, sorted by position:
Position (°2θ)	d (Å)	intensity
11.4	7.793	45.9
18.3	4.858	32.1
20.1	4.428	39.7
21.8	4.076	63.4
22.3	3.981	61.0
22.8	3.896	100.0
24.9	3.576	52.4
26.6	3.356	29.5
35.5	2.528	43.3
44.4	2.038	32.2

Atomic structure:
a b c (Å): 16.2222 12.4246 11.5602
angles (deg): 90.00 116.29 90.00
Space group Cm (No. 8)
Inequivalent atoms, fractional coordinates:
1 Cs 0.0000 0.0000 0.0000
2 Cs 0.0057 0.1882 0.5892
3 Cs 0.2351 0.3011 0.0184
4 Cs 0.3807 0.0000 0.7812
5 Cs 0.4315 0.0000 0.2413
6 K 0.1889 0.1888 0.3770
7 K 0.2245 0.5000 0.6143
8 Hg 0.1858 0.0000 0.8854

---

13.
Starting from the PBE geometry in Alexandria, the powder diffraction line list of Ho2Re2N7 was computed for Cu Ka.
Peak positions follow from Bragg's law for the DFT cell and can differ from measured ones.

Principal peaks in the range 2θ = 10–80°, sorted by position:
Position (°2θ)	d (Å)	intensity
25.5	3.494	100.0
25.6	3.480	50.2
27.5	3.248	58.6
30.6	2.921	21.2
31.6	2.835	55.4
33.9	2.641	23.1
36.0	2.492	20.4
49.8	1.832	25.6
54.8	1.675	27.4
60.6	1.527	18.6

Atomic structure:
a b c (Å): 7.1990 9.6368 5.2095
angles (deg): 90.00 103.03 90.00
Space group C2/m (No. 12)
Inequivalent atoms, fractional coordinates:
1 Ho 0.0000 0.1921 0.0000
2 Re 0.2275 0.5000 0.3962
3 N 0.0000 0.5000 0.5000
4 N 0.0971 0.0000 0.2859
5 N 0.2383 0.3449 0.2057

---

14.
Starting from the PBE geometry in Alexandria, the powder diffraction line list of Cd4CuAg was computed for Cu Ka.
Peak positions follow from Bragg's law for the DFT cell and can differ from measured ones.

Principal peaks in the range 2θ = 10–80°, sorted by position:
Position (°2θ)	d (Å)	intensity
23.8	3.734	30.8
26.8	3.326	12.5
28.0	3.190	23.9
39.1	2.302	100.0
40.0	2.256	48.4
47.1	1.931	9.5
48.8	1.867	9.4
57.8	1.595	15.5
70.3	1.338	15.0
72.0	1.311	30.5

Atomic structure:
a b c (Å): 4.5117 4.5117 6.6511
angles (deg): 90.00 90.00 90.00
Space group P4/mmm (No. 123)
Inequivalent atoms, fractional coordinates:
1 Cd 0.0000 0.5000 0.2343
2 Cu 0.0000 0.0000 0.0000
3 Ag 0.5000 0.5000 0.5000